This entry pairs a crystal structure of Li2Pd5Au4 with its simulated PXRD pattern. Radiation: Cu Kα X-rays. Structure: a structure optimized by DFT (PBE).
Lines closer than 0.1° are merged.

Structure:
a b c (Å): 15.2124 3.8387 6.5874
angles (deg): 90.00 90.42 90.00
Space group C2/m (No. 12)
Unique sites:
Li (0.0778, 0.0000, 0.1232) x4
Pd (0.0000, 0.0000, 0.5000) x2
Pd (0.1142, 0.5000, 0.4136) x4
Pd (0.1914, 0.5000, 0.0502) x4
Au (0.0462, 0.5000, 0.8083) x4
Au (0.2442, 0.0000, 0.3359) x4

Principal peaks in the range 2θ from 5° to 70°, in order of rising 2θ:
2θ/deg  Rel. int.
23.4  24
23.9  52
27.5  39
40.1  100
40.3  99
43.0  41
47.4  32
65.8  23